Diffraction record for PH5I2. The X-ray diffraction stick pattern is simulated, not measured: it uses a structure optimized by DFT (PBE) and Cu Kα X-rays.
Kinematic intensities with the Lorentz-polarization factor, no thermal factor.

Peak list (8 most intense, 5° ≤ 2θ ≤ 70°, in order of falling intensity)
2θ = 12.31°, intensity 100; 2θ = 27.02°, intensity 59; 2θ = 24.77°, intensity 38; 2θ = 32.22°, intensity 37; 2θ = 46.31°, intensity 25; 2θ = 40.55°, intensity 24; 2θ = 23.96°, intensity 23; 2θ = 38.48°, intensity 22

Structure:
Cell lengths 8.0918, 7.7943, 4.7821 Å; angles 75.91, 69.11, 34.97 degrees
Element x y z (fractional)
P (0.0000, 0.0000, 0.0000)
H (0.0994, 0.0994, 0.9006)
H (0.1576, 0.7441, 0.8424)
H (0.2021, 0.7969, 0.2031)
H (0.7441, 0.1576, 0.2559)
H (0.7969, 0.2021, 0.7979)
I (0.2525, 0.2525, 0.2475)
I (0.7525, 0.7525, 0.7475)